The following is a theoretical powder XRD pattern of Sm12TmTl3. It was derived from a PBE-relaxed structure, using Cu Kα X-rays.
Neutral-atom scattering factors, no anomalous dispersion.

Principal peaks in the range 5 to 70 degrees two-theta, low angle first:
17.94 deg, I 1; 25.22 deg, I 1; 31.12 deg, I 100; 33.92 deg, I 1; 35.59 deg, I 17; 36.33 deg, I 33; 51.77 deg, I 24; 52.33 deg, I 12; 55.29 deg, I 1; 61.15 deg, I 14; 62.14 deg, I 28; 64.89 deg, I 12

Atomic structure:
Lattice parameters (Å, degrees): 4.945 4.945 20.180 90.00 90.00 90.00
Element x y z (fractional)
Sm  0.000  0.000  0.000
Sm  0.000  0.000  0.247
Sm  0.000  0.000  0.500
Sm  0.000  0.000  0.753
Sm  0.000  0.500  0.124
Sm  0.000  0.500  0.371
Sm  0.000  0.500  0.629
Sm  0.000  0.500  0.876
Sm  0.500  0.000  0.124
Sm  0.500  0.000  0.371
Sm  0.500  0.000  0.629
Sm  0.500  0.000  0.876
Tm  0.500  0.500  0.500
Tl  0.500  0.500  0.000
Tl  0.500  0.500  0.244
Tl  0.500  0.500  0.756

The following is a theoretical powder XRD pattern of Sm3Tm2Tl6. It was derived from a PBE-relaxed structure, using Cu Kα X-rays.
Neutral-atom scattering factors, no anomalous dispersion.

Principal peaks in the range 5 to 70 degrees two-theta, low angle first:
12.17 deg, I 22; 29.06 deg, I 100; 32.22 deg, I 18; 33.44 deg, I 16; 36.23 deg, I 96; 37.51 deg, I 75; 49.26 deg, I 14; 53.78 deg, I 17; 54.10 deg, I 26; 62.58 deg, I 23; 64.33 deg, I 19; 66.85 deg, I 33

Atomic structure:
Lattice parameters (Å, degrees): 14.932 14.932 14.932 161.52 161.52 26.25
Element x y z (fractional)
Sm  0.000  0.000  0.000
Sm  0.198  0.198  0.000
Sm  0.802  0.802  0.000
Tm  0.447  0.447  0.000
Tm  0.553  0.553  0.000
Tl  0.117  0.617  0.500
Tl  0.306  0.306  0.000
Tl  0.383  0.883  0.500
Tl  0.617  0.117  0.500
Tl  0.694  0.694  0.000
Tl  0.883  0.383  0.500

The following is a theoretical powder XRD pattern of Sm3Tm2Tl7. It was derived from a PBE-relaxed structure, using Cu Kα X-rays.
Neutral-atom scattering factors, no anomalous dispersion.

Principal peaks in the range 5 to 70 degrees two-theta, low angle first:
6.14 deg, I 7; 17.53 deg, I 7; 29.48 deg, I 22; 33.26 deg, I 100; 35.50 deg, I 25; 35.78 deg, I 24; 37.47 deg, I 9; 51.29 deg, I 18; 62.33 deg, I 16; 62.70 deg, I 16; 65.22 deg, I 7; 67.10 deg, I 10

Atomic structure:
Lattice parameters (Å, degrees): 14.619 14.619 5.058 90.00 90.00 160.23
Element x y z (fractional)
Sm  0.000  0.000  0.000
Sm  0.153  0.847  0.000
Sm  0.847  0.153  0.000
Tm  0.343  0.657  0.500
Tm  0.657  0.343  0.500
Tl  0.080  0.920  0.500
Tl  0.224  0.776  0.500
Tl  0.419  0.581  0.000
Tl  0.500  0.500  0.500
Tl  0.581  0.419  0.000
Tl  0.776  0.224  0.500
Tl  0.920  0.080  0.500

The following is a theoretical powder XRD pattern of SmYTl6. It was derived from a PBE-relaxed structure, using Cu Kα X-rays.
Neutral-atom scattering factors, no anomalous dispersion.

Principal peaks in the range 5 to 70 degrees two-theta, low angle first:
18.52 deg, I 3; 26.31 deg, I 3; 32.37 deg, I 100; 37.55 deg, I 50; 42.18 deg, I 2; 46.43 deg, I 1; 54.15 deg, I 36; 57.73 deg, I 1; 61.18 deg, I 1; 64.52 deg, I 42; 67.76 deg, I 12

Atomic structure:
Lattice parameters (Å, degrees): 4.792 4.792 9.576 90.00 90.00 90.00
Element x y z (fractional)
Sm  0.000  0.000  0.000
Y  0.000  0.000  0.500
Tl  0.000  0.500  0.252
Tl  0.000  0.500  0.748
Tl  0.500  0.000  0.252
Tl  0.500  0.000  0.748
Tl  0.500  0.500  0.000
Tl  0.500  0.500  0.500

The following is a theoretical powder XRD pattern of Sm6YTl4. It was derived from a PBE-relaxed structure, using Cu Kα X-rays.
Neutral-atom scattering factors, no anomalous dispersion.

Principal peaks in the range 5 to 70 degrees two-theta, low angle first:
21.95 deg, I 29; 27.35 deg, I 56; 29.36 deg, I 70; 31.75 deg, I 28; 34.75 deg, I 100; 37.40 deg, I 55; 39.06 deg, I 69; 51.19 deg, I 28; 55.19 deg, I 35; 56.44 deg, I 23; 58.11 deg, I 22; 68.00 deg, I 28

Atomic structure:
Lattice parameters (Å, degrees): 9.630 9.630 9.630 140.42 140.42 57.22
Element x y z (fractional)
Sm  0.000  0.500  0.500
Sm  0.084  0.084  0.527
Sm  0.443  0.916  0.000
Sm  0.500  0.000  0.500
Sm  0.557  0.557  0.473
Sm  0.916  0.443  0.000
Y  0.000  0.000  0.000
Tl  0.108  0.623  0.000
Tl  0.377  0.377  0.485
Tl  0.623  0.108  0.000
Tl  0.892  0.892  0.515

The following is a theoretical powder XRD pattern of Sm4YTl2. It was derived from a PBE-relaxed structure, using Cu Kα X-rays.
Neutral-atom scattering factors, no anomalous dispersion.

Principal peaks in the range 5 to 70 degrees two-theta, low angle first:
18.68 deg, I 15; 19.55 deg, I 9; 22.72 deg, I 20; 30.05 deg, I 11; 32.12 deg, I 100; 32.56 deg, I 72; 44.56 deg, I 23; 46.39 deg, I 27; 57.26 deg, I 19; 57.54 deg, I 29; 61.73 deg, I 7; 67.18 deg, I 12

Atomic structure:
Lattice parameters (Å, degrees): 9.484 9.484 9.484 34.17 34.17 34.17
Element x y z (fractional)
Sm  0.131  0.131  0.131
Sm  0.266  0.266  0.266
Sm  0.734  0.734  0.734
Sm  0.869  0.869  0.869
Y  0.500  0.500  0.500
Tl  0.384  0.384  0.384
Tl  0.616  0.616  0.616

Copy entry 6 word for word.
The following is a theoretical powder XRD pattern of Sm4YTl2. It was derived from a PBE-relaxed structure, using Cu Kα X-rays.
Neutral-atom scattering factors, no anomalous dispersion.

Principal peaks in the range 5 to 70 degrees two-theta, low angle first:
18.68 deg, I 15; 19.55 deg, I 9; 22.72 deg, I 20; 30.05 deg, I 11; 32.12 deg, I 100; 32.56 deg, I 72; 44.56 deg, I 23; 46.39 deg, I 27; 57.26 deg, I 19; 57.54 deg, I 29; 61.73 deg, I 7; 67.18 deg, I 12

Atomic structure:
Lattice parameters (Å, degrees): 9.484 9.484 9.484 34.17 34.17 34.17
Element x y z (fractional)
Sm  0.131  0.131  0.131
Sm  0.266  0.266  0.266
Sm  0.734  0.734  0.734
Sm  0.869  0.869  0.869
Y  0.500  0.500  0.500
Tl  0.384  0.384  0.384
Tl  0.616  0.616  0.616